Tb5CoPb2: theoretical X-ray diffraction stick pattern (Cu Ka), based on DFT lattice parameters and positions (PBE).
Lines closer than 0.1° are merged.

Atomic structure:
```
Tb5CoPb2
1.0
2.9766 -4.9801 0.0000
2.9766 4.9801 0.0000
0.0000 0.0000 15.5394
Tb Co Pb
10 2 4
direct
0.0796 0.9204 0.6255
0.0796 0.9204 0.8745
0.2503 0.7497 0.2500
0.4194 0.5806 0.6265
0.4194 0.5806 0.8735
0.5806 0.4194 0.1265
0.5806 0.4194 0.3735
0.7497 0.2503 0.7500
0.9204 0.0796 0.1255
0.9204 0.0796 0.3745
0.2486 0.7514 0.7500
0.7514 0.2486 0.2500
0.2507 0.7493 0.0503
0.2507 0.7493 0.4497
0.7493 0.2507 0.5503
0.7493 0.2507 0.9497
```

Top 12 peaks for 2θ from 5° to 70°, by angle:
2θ (°), intensity
29.2, 63
30.0, 99
31.4, 100
33.8, 97
35.5, 73
42.3, 46
54.2, 22
55.7, 24
56.9, 19
57.1, 25
62.6, 21
64.2, 23